[1]
Structure and computed powder XRD pattern of TbNiGe (the PBE geometry in the Materials Project; Cu Ka).

Peak list (10 most intense, 2θ from 15° to 90°, most intense first)
d_spacing	2theta	I/Imax	h k l
2.526	35.54	100.0	2 1 1
2.111	42.83	30.3	0 1 3
2.572	34.88	27.3	1 1 2
2.120	42.65	22.3	0 2 0
3.663	24.30	18.8	0 1 1
1.623	56.72	14.8	2 2 2
1.360	69.04	13.5	3 1 4
2.216	40.71	12.3	3 0 1
1.575	58.61	10.2	4 1 1
1.289	73.44	8.4	2 3 1

Structural model:
Cell: 6.978 4.240 7.305 Å, 90.00 90.00 90.00°
Space group Pnma (No. 62)
Unique sites:
Tb  0.008  0.250  0.206 (multiplicity 4)
Ni  0.193  0.750  0.417 (multiplicity 4)
Ge  0.196  0.250  0.588 (multiplicity 4)

=====

[2]
Structure and computed powder XRD pattern of BaSmEuSbO6 (the PBE geometry in the Materials Project; Cu Ka).

Peak list (10 most intense, 2θ from 15° to 90°, most intense first)
d_spacing	2theta	I/Imax	h k l
3.025	29.53	100.0	2 2 0
1.746	52.39	40.6	4 2 2
2.139	42.26	28.9	4 0 0
1.143	84.81	21.6	6 4 2
1.512	61.30	18.1	4 4 0
1.353	69.49	18.1	6 2 0
1.235	77.27	6.0	4 4 4
2.470	36.38	1.7	2 2 2
2.579	34.78	0.7	3 1 1
4.939	17.96	0.5	1 1 1

Structural model:
Cell: 8.555 8.555 8.555 Å, 90.00 90.00 90.00°
Space group F-43m (No. 216)
Unique sites:
Ba  0.000  0.000  0.000 (multiplicity 4)
Sm  0.250  0.250  0.250 (multiplicity 4)
Eu  0.000  0.000  0.500 (multiplicity 4)
Sb  0.250  0.250  0.750 (multiplicity 4)
O  0.016  0.250  0.750 (multiplicity 24)

=====

[3]
Structure and computed powder XRD pattern of LaCd11 (the PBE geometry in the Materials Project; Cu Ka).

Peak list (10 most intense, 2θ from 15° to 90°, most intense first)
d_spacing	2theta	I/Imax	h k l
2.301	39.15	100.0	4 1 0
2.860	31.27	86.7	3 1 1
2.739	32.70	76.6	2 2 2
2.236	40.33	66.7	3 3 0
2.070	43.72	50.1	4 2 1
2.631	34.07	45.2	3 2 0
3.000	29.78	37.4	3 1 0
1.482	62.71	30.7	5 4 0
1.291	73.33	30.1	6 3 3
1.677	54.73	21.4	4 4 0

Structural model:
Cell: 9.487 9.487 9.487 Å, 90.00 90.00 90.00°
Space group Pm-3m (No. 221)
Unique sites:
La  0.000  0.000  0.500 (multiplicity 3)
Cd  0.000  0.346  0.346 (multiplicity 12)
Cd  0.155  0.155  0.155 (multiplicity 8)
Cd  0.267  0.267  0.500 (multiplicity 12)
Cd  0.500  0.500  0.500 (multiplicity 1)

=====

[4]
Structure and computed powder XRD pattern of CsBrO4 (the PBE geometry in the Materials Project; Cu Ka).

Peak list (10 most intense, 2θ from 15° to 90°, most intense first)
d_spacing	2theta	I/Imax	h k l
3.642	24.44	100.0	1 1 2
2.321	38.79	27.5	2 0 4
2.936	30.44	27.1	2 0 0
3.790	23.47	26.5	0 0 4
1.804	50.60	24.1	3 1 2
2.159	41.85	21.1	1 1 6
1.496	62.02	14.2	3 1 6
1.821	50.09	12.8	2 2 4
1.592	57.92	8.3	2 0 8
1.400	66.84	8.3	2 2 8

Structural model:
Cell: 5.873 5.873 15.160 Å, 90.00 90.00 90.00°
Space group I4_1/amd (No. 141, origin choice 2)
Unique sites:
Cs  0.000  0.250  0.375 (multiplicity 4)
Br  0.000  0.250  0.875 (multiplicity 4)
O  0.000  0.018  0.813 (multiplicity 16)

=====

[5]
Structure and computed powder XRD pattern of Al5HO8 (the PBE geometry in the Materials Project; Cu Ka).

Peak list (10 most intense, 2θ from 15° to 90°, most intense first)
d_spacing	2theta	I/Imax	h k l
2.136	42.31	100.0	2 0 2
1.408	66.38	77.7	2 2 0
1.432	65.13	75.5	2 0 5
2.376	37.87	69.7	1 1 2
2.524	35.57	57.5	1 0 3
3.277	27.21	54.1	1 0 2
1.880	48.43	42.8	2 0 3
2.351	38.28	42.1	2 0 1
1.563	59.09	41.3	2 1 3
4.423	20.07	37.7	0 0 2

Structural model:
Cell: 5.6331 5.6331 8.8468 Å, 90.00 90.00 120.00°
Space group P6_3mc (No. 186)
Unique sites:
Al  0.1657  0.3315  0.0000 (multiplicity 6)
Al  0.3333  0.6667  0.2944 (multiplicity 2)
Al  0.3333  0.6667  0.6817 (multiplicity 2)
H  0.0000  0.0000  0.2309 (multiplicity 2)
O  0.0000  0.0000  0.1185 (multiplicity 2)
O  0.0288  0.5144  0.1353 (multiplicity 6)
O  0.1656  0.3312  0.3968 (multiplicity 6)
O  0.3333  0.6667  0.8888 (multiplicity 2)